For NaHfV2O8, a structure optimized by DFT (PBE+U) gives the simulated powder diffractogram in this record (CuKα).

Atomic structure:
```
data_NaHfV2O8
_chemical_formula_sum 'Na1 Hf1 V2 O8'
_space_group_name_H-M_alt 'P 1'
_space_group_IT_number 1
_cell_length_a 5.8683
_cell_length_b 5.8683
_cell_length_c 5.8683
_cell_angle_alpha 105.98
_cell_angle_beta 105.98
_cell_angle_gamma 116.70
loop_
_space_group_symop_operation_xyz
'x,y,z'
loop_
_atom_site_label
_atom_site_type_symbol
_atom_site_fract_x
_atom_site_fract_y
_atom_site_fract_z
_atom_site_occupancy
Na1 Na 0.0000 0.0000 0.0000 1
Hf1 Hf 0.2500 0.7500 0.5000 1
V1 V 0.5000 0.5000 0.0000 1
V2 V 0.7500 0.2500 0.5000 1
O1 O 0.3429 0.1377 0.7948 1
O2 O 0.3429 0.5481 0.2052 1
O3 O 0.3773 0.0570 0.3202 1
O4 O 0.4519 0.6571 0.7948 1
O5 O 0.7368 0.0570 0.6798 1
O6 O 0.8623 0.6571 0.2052 1
O7 O 0.9430 0.2632 0.3202 1
O8 O 0.9430 0.6227 0.6798 1
```

Most intense lines, 2θ from 15° to 90°, in order of rising 2θ:
Position (°2θ)  d [Å]  I_rel
17.8  4.996  57
19.1  4.642  64
25.2  3.532  100
31.8  2.811  24
34.2  2.621  65
38.8  2.321  18
41.0  2.200  16
50.5  1.808  57
51.8  1.766  18
63.5  1.465  17

---

For Na2HfWO6, a structure optimized by DFT (PBE+U) gives the simulated powder diffractogram in this record (CuKα).

Atomic structure:
```
data_Na2HfWO6
_chemical_formula_sum 'Na2 Hf1 W1 O6'
_space_group_name_H-M_alt 'P 1'
_space_group_IT_number 1
_cell_length_a 5.6693
_cell_length_b 5.6693
_cell_length_c 4.0490
_cell_angle_alpha 90.00
_cell_angle_beta 90.00
_cell_angle_gamma 90.00
loop_
_space_group_symop_operation_xyz
'x,y,z'
loop_
_atom_site_label
_atom_site_type_symbol
_atom_site_fract_x
_atom_site_fract_y
_atom_site_fract_z
_atom_site_occupancy
Na1 Na 0.0000 0.5000 0.0000 1
Na2 Na 0.5000 0.0000 0.0000 1
Hf1 Hf 0.0000 0.0000 0.5433 1
W1 W 0.5000 0.5000 0.5128 1
O1 O 0.0000 0.0000 0.0474 1
O2 O 0.2612 0.2612 0.5553 1
O3 O 0.2612 0.7388 0.5553 1
O4 O 0.5000 0.5000 0.0487 1
O5 O 0.7388 0.2612 0.5553 1
O6 O 0.7388 0.7388 0.5553 1
```

Most intense lines, 2θ from 15° to 90°, in order of rising 2θ:
Position (°2θ)  d [Å]  I_rel
22.0  4.049  51
22.2  4.009  100
31.4  2.849  98
31.6  2.835  49
45.2  2.004  32
50.5  1.807  21
50.8  1.796  21
50.9  1.793  21
55.8  1.647  20
56.1  1.639  39